No. 1
Theoretical PXRD pattern of Re3Ru for copper Kα, from the GGA-PBE geometry in Alexandria.
Kinematic intensities with the Lorentz-polarization factor, no thermal factor.

Atomic structure:
```
8
Lattice="4.413 0.000 0.000 0.000 5.542 0.000 0.000 0.000 4.801" Properties=species:S:1:pos:R:3 pbc="T T T"
Re 1.103 0.010 0.794
Re 1.103 2.761 0.794
Re 1.103 4.156 3.214
Re 3.310 1.385 1.586
Re 3.310 2.781 4.007
Re 3.310 5.531 4.007
Ru 1.103 1.385 3.204
Ru 3.310 4.156 1.597
```

Top 6 peaks for 2θ from 10° to 80°, in order of rising 2θ:
2θ 37.47, 2.400 Å, intensity 24
2θ 40.90, 2.206 Å, intensity 26
2θ 42.89, 2.108 Å, intensity 100
2θ 56.67, 1.624 Å, intensity 15
2θ 67.61, 1.386 Å, intensity 17
2θ 75.86, 1.254 Å, intensity 19

No. 2
Theoretical PXRD pattern of BeCu3Si for copper Kα, from the GGA-PBE geometry in Alexandria.
Kinematic intensities with the Lorentz-polarization factor, no thermal factor.

Atomic structure:
```
10
Lattice="2.232 -4.343 0.000 2.232 4.343 0.000 -2.181 0.000 5.900" Properties=species:S:1:pos:R:3 pbc="T T T"
Be 1.142 3.546 2.950
Be 2.232 -3.546 0.000
Cu -0.113 0.651 4.732
Cu 1.067 2.801 5.240
Cu 0.978 -0.651 1.782
Cu 2.113 1.066 3.567
Cu 3.204 -1.066 0.617
Cu 2.157 -2.801 2.290
Si 2.256 1.316 1.152
Si 1.165 -1.316 4.102
```

Top 6 peaks for 2θ from 10° to 80°, in order of rising 2θ:
2θ 25.47, 3.498 Å, intensity 51
2θ 32.16, 2.783 Å, intensity 28
2θ 43.90, 2.062 Å, intensity 27
2θ 44.49, 2.037 Å, intensity 100
2θ 44.83, 2.022 Å, intensity 58
2θ 45.70, 1.985 Å, intensity 87

No. 3
Theoretical PXRD pattern of Pr2Fe17H3 for copper Kα, from the GGA-PBE geometry in Alexandria.
Kinematic intensities with the Lorentz-polarization factor, no thermal factor.

Atomic structure:
```
22
Lattice="4.349 2.511 4.078 -4.349 2.511 4.078 0.000 -5.022 4.078" Properties=species:S:1:pos:R:3 pbc="T T T"
Pr 0.000 0.000 1.899
Pr 0.000 0.000 10.337
Fe -2.174 -1.255 4.078
Fe 0.000 -2.464 3.950
Fe -2.134 1.232 3.950
Fe -1.228 -2.128 6.118
Fe -2.457 0.000 6.118
Fe -2.134 -1.232 8.285
Fe 0.000 0.000 4.929
Fe -2.174 1.255 8.157
Fe 1.228 -2.128 6.118
Fe 0.000 2.511 4.078
Fe -1.228 2.128 6.118
Fe 0.000 0.000 7.307
Fe 2.134 1.232 3.950
Fe 2.457 0.000 6.118
Fe 1.228 2.128 6.118
Fe 2.134 -1.232 8.285
Fe 0.000 2.464 8.285
H -4.349 0.000 6.118
H -2.174 1.255 2.039
H 2.174 1.255 2.039
```

Top 6 peaks for 2θ from 10° to 80°, in order of rising 2θ:
2θ 30.04, 2.975 Å, intensity 39
2θ 35.76, 2.511 Å, intensity 40
2θ 37.89, 2.374 Å, intensity 33
2θ 41.53, 2.174 Å, intensity 74
2θ 42.27, 2.138 Å, intensity 100
2θ 44.42, 2.039 Å, intensity 32

No. 4
Theoretical PXRD pattern of Pm5U2Ru5 for copper Kα, from the GGA-PBE geometry in Alexandria.
Kinematic intensities with the Lorentz-polarization factor, no thermal factor.

Atomic structure:
```
12
Lattice="5.577 -2.063 0.000 5.577 2.063 0.000 -3.846 0.000 12.610" Properties=species:S:1:pos:R:3 pbc="T T T"
Pm 0.000 0.000 0.000
Pm -0.144 0.000 7.216
Pm -0.491 0.000 10.788
Pm 7.799 0.000 1.822
Pm 7.452 0.000 5.394
U 2.892 0.000 8.732
U 4.416 0.000 3.877
Ru 0.212 0.000 3.115
Ru 4.374 0.000 1.527
Ru 3.654 0.000 6.305
Ru 2.934 0.000 11.082
Ru 7.096 0.000 9.495
```

Top 6 peaks for 2θ from 10° to 80°, in order of rising 2θ:
2θ 30.68, 2.914 Å, intensity 53
2θ 32.42, 2.762 Å, intensity 100
2θ 33.16, 2.702 Å, intensity 40
2θ 33.26, 2.694 Å, intensity 42
2θ 40.66, 2.219 Å, intensity 42
2θ 43.90, 2.062 Å, intensity 48

- Which formula does entry 2 have?
  BeCu3Si